Diffraction record for PmCu2Au10. The powder XRD pattern is simulated, not measured: it uses a PBE-relaxed structure and Cu Kα (weighted mean of Kα1 and Kα2).
Neutral-atom scattering factors, no anomalous dispersion.

Most intense lines, 15° ≤ 2θ ≤ 90°, by angle:
(hkl)	d_spacing	2θ (°)	I_rel
2 0 0	2.724	32.88	75
1 1 5	2.385	37.72	42
0 4 4	2.359	38.14	100
1 5 1	2.335	38.56	57
2 0 4	2.122	42.60	57
2 4 0	2.098	43.11	53
1 3 9	1.378	68.05	23
4 0 0	1.362	68.94	39

Structural model:
```
data_PmCu2Au10
_chemical_formula_sum 'Pm4 Cu8 Au40'
_cell_length_a 5.4475
_cell_length_b 13.1621
_cell_length_c 13.5427
_cell_angle_alpha 90.00
_cell_angle_beta 90.00
_cell_angle_gamma 90.00
_space_group_name_H-M_alt 'F m m m'
_space_group_IT_number 69
_space_group_name_Hall '-F 2 2'
loop_
_atom_site_label
_atom_site_fract_x
_atom_site_fract_y
_atom_site_fract_z
Pm1 0.0000 0.0000 0.0000
Cu1 0.2500 0.2500 0.0000
Au1 0.0000 0.1113 0.3970
Au2 0.0000 0.1778 0.1623
Au3 0.2500 0.0000 0.2500
```

=====

Diffraction record for PmCuAu11. The powder XRD pattern is simulated, not measured: it uses a PBE-relaxed structure and Cu Kα (weighted mean of Kα1 and Kα2).
Neutral-atom scattering factors, no anomalous dispersion.

Most intense lines, 15° ≤ 2θ ≤ 90°, by angle:
(hkl)	d_spacing	2θ (°)	I_rel
2 0 -1	2.788	32.11	23
1 3 -2	2.747	32.59	49
2 2 0	2.403	37.42	65
1 5 0	2.395	37.55	49
0 4 2	2.367	38.02	100
2 4 -1	2.151	41.99	49
2 0 1	2.136	42.31	50
2 0 -3	2.131	42.42	31

Structural model:
```
data_PmCuAu11
_chemical_formula_sum 'Pm2 Cu2 Au22'
_cell_length_a 5.5753
_cell_length_b 13.5337
_cell_length_c 7.1883
_cell_angle_alpha 90.00
_cell_angle_beta 112.61
_cell_angle_gamma 90.00
_space_group_name_H-M_alt 'C 1 2/m 1'
_space_group_IT_number 12
loop_
_space_group_symop_operation_xyz
'x,y,z'
'-x,-y,-z'
'-x,y,-z'
'x,-y,z'
'x+1/2,y+1/2,z'
'-x+1/2,-y+1/2,-z'
'-x+1/2,y+1/2,-z'
'x+1/2,-y+1/2,z'
loop_
_atom_site_label
_atom_site_fract_x
_atom_site_fract_y
_atom_site_fract_z
Pm1 0.0000 0.0000 0.0000
Cu1 0.0000 0.5000 0.5000
Au1 0.0000 0.0000 0.5000
Au2 0.0974 0.3952 0.2176
Au3 0.1874 0.1679 0.3520
Au4 0.2500 0.2500 0.0000
```

=====

Diffraction record for PmCu8Au3. The powder XRD pattern is simulated, not measured: it uses a PBE-relaxed structure and Cu Kα (weighted mean of Kα1 and Kα2).
Neutral-atom scattering factors, no anomalous dispersion.

Most intense lines, 15° ≤ 2θ ≤ 90°, by angle:
(hkl)	d_spacing	2θ (°)	I_rel
1 1 0	2.509	35.78	67
1 0 3	2.310	39.00	100
1 1 2	2.139	42.26	97
0 2 1	2.100	43.07	54
2 1 3	1.407	66.45	41
0 3 2	1.366	68.74	22
0 2 5	1.307	72.30	26
2 2 0	1.255	75.82	22

Structural model:
```
data_PmCu8Au3
_chemical_formula_sum 'Pm1 Cu8 Au3'
_cell_length_a 5.0186
_cell_length_b 5.0186
_cell_length_c 8.1789
_cell_angle_alpha 90.00
_cell_angle_beta 90.00
_cell_angle_gamma 120.00
_space_group_name_H-M_alt 'P 3 m 1'
_space_group_IT_number 156
loop_
_space_group_symop_operation_xyz
'x,y,z'
'-y,x-y,z'
'-x+y,-x,z'
'-y,-x,z'
'-x+y,y,z'
'x,x-y,z'
loop_
_atom_site_label
_atom_site_fract_x
_atom_site_fract_y
_atom_site_fract_z
Pm1 0.0000 0.0000 0.0000
Cu1 0.1659 0.3319 0.6791
Cu2 0.3333 0.6667 0.4350
Cu3 0.3333 0.6667 0.9351
Cu4 0.5024 0.0048 0.1972
Au1 0.0000 0.0000 0.3800
Au2 0.6667 0.3333 0.4989
Au3 0.6667 0.3333 0.8654
```

=====

Diffraction record for PrCuAu. The powder XRD pattern is simulated, not measured: it uses a PBE-relaxed structure and Cu Kα (weighted mean of Kα1 and Kα2).
Neutral-atom scattering factors, no anomalous dispersion.

Most intense lines, 15° ≤ 2θ ≤ 90°, by angle:
(hkl)	d_spacing	2θ (°)	I_rel
1 1 -1	3.814	23.32	36
3 1 -1	2.745	32.63	52
1 1 -2	2.685	33.37	100
4 0 -2	2.667	33.60	44
3 1 -2	2.652	33.80	33
3 1 0	2.293	39.29	89
0 2 0	2.235	40.36	51
1 1 -4	1.446	64.45	28

Structural model:
```
data_PrCuAu
_chemical_formula_sum 'Pr4 Cu4 Au4'
_cell_length_a 10.7142
_cell_length_b 4.4700
_cell_length_c 7.3154
_cell_angle_alpha 90.00
_cell_angle_beta 131.58
_cell_angle_gamma 90.00
_space_group_name_H-M_alt 'C 1 2/m 1'
_space_group_IT_number 12
loop_
_space_group_symop_operation_xyz
'x,y,z'
'-x,-y,-z'
'-x,y,-z'
'x,-y,z'
'x+1/2,y+1/2,z'
'-x+1/2,-y+1/2,-z'
'-x+1/2,y+1/2,-z'
'x+1/2,-y+1/2,z'
loop_
_atom_site_label
_atom_site_fract_x
_atom_site_fract_y
_atom_site_fract_z
Pr1 0.0371 0.0000 0.2855
Cu1 0.1497 0.5000 0.6907
Au1 0.1770 0.5000 0.1337
```

=====

Diffraction record for PrCu5Au. The powder XRD pattern is simulated, not measured: it uses a PBE-relaxed structure and Cu Kα (weighted mean of Kα1 and Kα2).
Neutral-atom scattering factors, no anomalous dispersion.

Most intense lines, 15° ≤ 2θ ≤ 90°, by angle:
(hkl)	d_spacing	2θ (°)	I_rel
0 2 0	2.569	34.92	57
1 0 4	2.479	36.24	46
3 1 1	2.367	38.02	100
2 1 3	2.360	38.14	69
3 1 2	2.202	41.00	45
2 2 1	2.136	42.31	56
2 1 4	2.023	44.81	75
1 2 3	2.002	45.29	61

Structural model:
```
data_PrCu5Au
_chemical_formula_sum 'Pr4 Cu20 Au4'
_cell_length_a 8.2754
_cell_length_b 5.1387
_cell_length_c 10.3927
_cell_angle_alpha 90.00
_cell_angle_beta 90.00
_cell_angle_gamma 90.00
_space_group_name_H-M_alt 'P n m a'
_space_group_IT_number 62
loop_
_space_group_symop_operation_xyz
'x,y,z'
'-x,-y,-z'
'-x+1/2,-y,z+1/2'
'x+1/2,y,-z+1/2'
'x+1/2,-y+1/2,-z+1/2'
'-x+1/2,y+1/2,z+1/2'
'-x,y+1/2,-z'
'x,-y+1/2,z'
loop_
_atom_site_label
_atom_site_fract_x
_atom_site_fract_y
_atom_site_fract_z
Pr1 0.2398 0.2500 0.0630
Cu1 0.0588 0.7500 0.1076
Cu2 0.0661 0.0008 0.3135
Cu3 0.0902 0.2500 0.5172
Cu4 0.1844 0.2500 0.7486
Au1 0.1413 0.7500 0.8613
```

=====

Diffraction record for Pr2CuSn4Au3. The powder XRD pattern is simulated, not measured: it uses a PBE-relaxed structure and Cu Kα (weighted mean of Kα1 and Kα2).
Neutral-atom scattering factors, no anomalous dispersion.

Most intense lines, 15° ≤ 2θ ≤ 90°, by angle:
(hkl)	d_spacing	2θ (°)	I_rel
1 0 3	2.943	30.37	52
1 1 2	2.822	31.71	100
2 0 0	2.288	39.39	74
1 1 4	2.152	41.97	45
1 0 5	2.060	43.96	33
2 1 3	1.806	50.53	26
2 2 0	1.618	56.92	26
2 1 5	1.531	60.48	26

Structural model:
```
data_Pr2CuSn4Au3
_chemical_formula_sum 'Pr2 Cu1 Sn4 Au3'
_cell_length_a 4.5754
_cell_length_b 4.5754
_cell_length_c 11.5324
_cell_angle_alpha 90.00
_cell_angle_beta 90.00
_cell_angle_gamma 90.00
_space_group_name_H-M_alt 'P -4 m 2'
_space_group_IT_number 115
loop_
_space_group_symop_operation_xyz
'x,y,z'
'y,-x,-z'
'-x,-y,z'
'-y,x,-z'
'-x,y,z'
'-y,-x,-z'
'x,-y,z'
'y,x,-z'
loop_
_atom_site_label
_atom_site_fract_x
_atom_site_fract_y
_atom_site_fract_z
Pr1 0.0000 0.5000 0.2277
Cu1 0.5000 0.5000 0.0000
Sn1 0.0000 0.0000 0.5000
Sn2 0.0000 0.5000 0.8749
Sn3 0.5000 0.5000 0.5000
Au1 0.0000 0.0000 0.0000
Au2 0.0000 0.5000 0.6449
```